[1]
Starting from a DFT-relaxed cell (PBE, OQMD), the powder diffraction line list of LaErZn2Ga2 was calculated for copper Kα.
Lines closer than 0.1° are merged.

Structure:
```
data_LaErZn2Ga2
_chemical_formula_sum 'La1 Er1 Zn2 Ga2'
_cell_length_a 4.461
_cell_length_b 4.461
_cell_length_c 7.485
_cell_angle_alpha 90.00
_cell_angle_beta 90.00
_cell_angle_gamma 120.00
_symmetry_space_group_name_H-M 'P 1'
_symmetry_Int_Tables_number 1
_symmetry_space_group_name_Hall 'P 1'
loop_
_atom_site_label
_atom_site_type_symbol
_atom_site_fract_x
_atom_site_fract_y
_atom_site_fract_z
La1 La 0.000 0.000 0.000
Er1 Er 0.000 0.000 0.498
Zn1 Zn 0.333 0.667 0.752
Zn2 Zn 0.667 0.333 0.305
Ga1 Ga 0.333 0.667 0.238
Ga2 Ga 0.667 0.333 0.701
```

The 10 most intense peaks (10 to 90 degrees two-theta), low angle first:
two_theta	I/Imax
23.0	17
33.3	100
40.4	55
48.7	7
53.4	26
54.5	7
65.1	18
69.0	24
73.6	9
81.0	6



[2]
Starting from a DFT-relaxed cell (PBE, OQMD), the powder diffraction line list of DyAl3Zn5 was calculated for copper Kα.
Lines closer than 0.1° are merged.

Structure:
```
data_DyAl3Zn5
_chemical_formula_sum 'Dy4 Al12 Zn20'
_cell_length_a 10.271
_cell_length_b 10.271
_cell_length_c 10.271
_cell_angle_alpha 130.88
_cell_angle_beta 130.88
_cell_angle_gamma 72.01
_symmetry_space_group_name_H-M 'P 1'
_symmetry_Int_Tables_number 1
_symmetry_space_group_name_Hall 'P 1'
loop_
_atom_site_label
_atom_site_type_symbol
_atom_site_fract_x
_atom_site_fract_y
_atom_site_fract_z
Dy1 Dy 0.000 0.500 0.500
Dy2 Dy 0.221 0.221 0.000
Dy3 Dy 0.500 0.000 0.500
Dy4 Dy 0.779 0.779 0.000
Al1 Al 0.000 0.000 0.500
Al2 Al 0.000 0.500 0.000
Al3 Al 0.130 0.362 0.768
Al4 Al 0.362 0.130 0.768
Al5 Al 0.362 0.594 0.232
Al6 Al 0.406 0.638 0.768
Al7 Al 0.500 0.000 0.000
Al8 Al 0.500 0.500 0.500
Al9 Al 0.594 0.362 0.232
Al10 Al 0.638 0.406 0.768
Al11 Al 0.638 0.870 0.232
Al12 Al 0.870 0.638 0.232
Zn1 Zn 0.083 0.083 0.323
Zn2 Zn 0.083 0.760 0.000
Zn3 Zn 0.173 0.522 0.349
Zn4 Zn 0.173 0.824 0.651
Zn5 Zn 0.176 0.827 0.349
Zn6 Zn 0.240 0.240 0.323
Zn7 Zn 0.240 0.917 0.000
Zn8 Zn 0.347 0.347 0.694
Zn9 Zn 0.347 0.653 0.000
Zn10 Zn 0.478 0.827 0.651
Zn11 Zn 0.522 0.173 0.349
Zn12 Zn 0.653 0.347 0.000
Zn13 Zn 0.653 0.653 0.306
Zn14 Zn 0.760 0.083 0.000
Zn15 Zn 0.760 0.760 0.677
Zn16 Zn 0.824 0.173 0.651
Zn17 Zn 0.827 0.176 0.349
Zn18 Zn 0.827 0.478 0.651
Zn19 Zn 0.917 0.240 0.000
Zn20 Zn 0.917 0.917 0.677
```

The 10 most intense peaks (10 to 90 degrees two-theta), low angle first:
two_theta	I/Imax
18.2	15
19.1	22
34.9	100
35.7	33
36.8	37
39.4	26
41.5	18
41.8	57
45.0	21
67.6	17



[3]
Starting from a DFT-relaxed cell (PBE, OQMD), the powder diffraction line list of K2ReSe3 was calculated for copper Kα.
Lines closer than 0.1° are merged.

Structure:
```
data_K2ReSe3
_chemical_formula_sum 'K4 Re2 Se6'
_cell_length_a 6.992
_cell_length_b 7.549
_cell_length_c 8.654
_cell_angle_alpha 74.56
_cell_angle_beta 68.60
_cell_angle_gamma 66.41
_symmetry_space_group_name_H-M 'P 1'
_symmetry_Int_Tables_number 1
_symmetry_space_group_name_Hall 'P 1'
loop_
_atom_site_label
_atom_site_type_symbol
_atom_site_fract_x
_atom_site_fract_y
_atom_site_fract_z
K1 K 0.106 0.197 0.121
K2 K 0.347 0.563 0.304
K3 K 0.653 0.437 0.696
K4 K 0.894 0.803 0.879
Re1 Re 0.385 0.052 0.657
Re2 Re 0.615 0.948 0.343
Se1 Se 0.169 0.380 0.709
Se2 Se 0.248 0.958 0.484
Se3 Se 0.373 0.816 0.903
Se4 Se 0.627 0.184 0.097
Se5 Se 0.752 0.042 0.516
Se6 Se 0.831 0.620 0.291
```

The 10 most intense peaks (10 to 90 degrees two-theta), low angle first:
two_theta	I/Imax
11.1	46
12.9	95
14.5	39
15.5	100
15.8	50
18.2	28
25.6	57
26.8	37
27.4	39
42.7	32



[4]
Starting from a DFT-relaxed cell (PBE, OQMD), the powder diffraction line list of Li3Tc2O6 was calculated for copper Kα.
Lines closer than 0.1° are merged.

Structure:
```
data_Li3Tc2O6
_chemical_formula_sum 'Li3 Tc2 O6'
_cell_length_a 5.115
_cell_length_b 5.115
_cell_length_c 5.106
_cell_angle_alpha 100.10
_cell_angle_beta 100.10
_cell_angle_gamma 119.42
_symmetry_space_group_name_H-M 'P 1'
_symmetry_Int_Tables_number 1
_symmetry_space_group_name_Hall 'P 1'
loop_
_atom_site_label
_atom_site_type_symbol
_atom_site_fract_x
_atom_site_fract_y
_atom_site_fract_z
Li1 Li 0.000 0.000 0.000
Li2 Li 0.498 0.502 0.500
Li3 Li 0.848 0.152 0.500
Tc1 Tc 0.324 0.676 0.000
Tc2 Tc 0.664 0.336 0.000
O1 O 0.075 0.421 0.226
O2 O 0.268 0.283 0.768
O3 O 0.428 0.093 0.234
O4 O 0.579 0.925 0.774
O5 O 0.717 0.732 0.232
O6 O 0.907 0.572 0.766
```

The 10 most intense peaks (10 to 90 degrees two-theta), low angle first:
two_theta	I/Imax
18.5	100
20.1	19
20.9	35
23.4	22
27.5	20
35.3	16
35.7	32
42.9	29
43.6	46
63.1	20



[5]
Starting from a DFT-relaxed cell (PBE, OQMD), the powder diffraction line list of U3Se5 was calculated for copper Kα.
Lines closer than 0.1° are merged.

Structure:
```
data_U3Se5
_chemical_formula_sum 'U12 Se20'
_cell_length_a 12.160
_cell_length_b 8.206
_cell_length_c 7.702
_cell_angle_alpha 90.00
_cell_angle_beta 90.00
_cell_angle_gamma 90.00
_symmetry_space_group_name_H-M 'P 1'
_symmetry_Int_Tables_number 1
_symmetry_space_group_name_Hall 'P 1'
loop_
_atom_site_label
_atom_site_type_symbol
_atom_site_fract_x
_atom_site_fract_y
_atom_site_fract_z
U1 U 0.007 0.250 0.082
U2 U 0.180 0.000 0.521
U3 U 0.180 0.500 0.521
U4 U 0.320 0.000 0.021
U5 U 0.320 0.500 0.021
U6 U 0.493 0.750 0.582
U7 U 0.507 0.250 0.418
U8 U 0.680 0.000 0.979
U9 U 0.680 0.500 0.979
U10 U 0.820 0.000 0.479
U11 U 0.820 0.500 0.479
U12 U 0.993 0.750 0.918
Se1 Se 0.000 0.250 0.466
Se2 Se 0.000 0.750 0.534
Se3 Se 0.098 0.550 0.169
Se4 Se 0.098 0.950 0.169
Se5 Se 0.184 0.250 0.829
Se6 Se 0.219 0.750 0.797
Se7 Se 0.281 0.250 0.297
Se8 Se 0.316 0.750 0.329
Se9 Se 0.402 0.050 0.669
Se10 Se 0.402 0.450 0.669
Se11 Se 0.500 0.250 0.034
Se12 Se 0.500 0.750 0.966
Se13 Se 0.598 0.550 0.331
Se14 Se 0.598 0.950 0.331
Se15 Se 0.684 0.250 0.671
Se16 Se 0.719 0.750 0.703
Se17 Se 0.781 0.250 0.203
Se18 Se 0.816 0.750 0.171
Se19 Se 0.902 0.050 0.831
Se20 Se 0.902 0.450 0.831
```

The 10 most intense peaks (10 to 90 degrees two-theta), low angle first:
two_theta	I/Imax
23.1	39
24.8	81
25.7	50
26.2	56
33.2	42
35.2	100
36.8	37
44.2	43
44.9	54
51.3	26



[6]
Starting from a DFT-relaxed cell (PBE, OQMD), the powder diffraction line list of Pr2C3 was calculated for copper Kα.
Lines closer than 0.1° are merged.

Structure:
```
data_Pr2C3
_chemical_formula_sum 'Pr8 C12'
_cell_length_a 7.512
_cell_length_b 7.512
_cell_length_c 7.512
_cell_angle_alpha 109.47
_cell_angle_beta 109.47
_cell_angle_gamma 109.47
_symmetry_space_group_name_H-M 'P 1'
_symmetry_Int_Tables_number 1
_symmetry_space_group_name_Hall 'P 1'
loop_
_atom_site_label
_atom_site_type_symbol
_atom_site_fract_x
_atom_site_fract_y
_atom_site_fract_z
Pr1 Pr 0.000 0.397 0.500
Pr2 Pr 0.000 0.897 0.500
Pr3 Pr 0.103 0.103 0.103
Pr4 Pr 0.397 0.500 0.000
Pr5 Pr 0.500 0.000 0.397
Pr6 Pr 0.500 0.000 0.897
Pr7 Pr 0.603 0.603 0.603
Pr8 Pr 0.897 0.500 0.000
C1 C 0.048 0.750 0.798
C2 C 0.202 0.750 0.952
C3 C 0.250 0.548 0.298
C4 C 0.250 0.702 0.452
C5 C 0.298 0.250 0.548
C6 C 0.452 0.250 0.702
C7 C 0.548 0.298 0.250
C8 C 0.702 0.452 0.250
C9 C 0.750 0.798 0.048
C10 C 0.750 0.952 0.202
C11 C 0.798 0.048 0.750
C12 C 0.952 0.202 0.750
```

The 10 most intense peaks (10 to 90 degrees two-theta), low angle first:
two_theta	I/Imax
25.1	46
29.1	92
32.6	100
38.8	52
49.3	27
53.9	65
58.3	27
70.3	19
81.5	19
83.4	16



[7]
Starting from a DFT-relaxed cell (PBE, OQMD), the powder diffraction line list of NiBiW4C2 was calculated for copper Kα.
Lines closer than 0.1° are merged.

Structure:
```
data_NiBiW4C2
_chemical_formula_sum 'Ni1 Bi1 W4 C2'
_cell_length_a 3.129
_cell_length_b 3.129
_cell_length_c 13.803
_cell_angle_alpha 90.00
_cell_angle_beta 90.00
_cell_angle_gamma 120.00
_symmetry_space_group_name_H-M 'P 1'
_symmetry_Int_Tables_number 1
_symmetry_space_group_name_Hall 'P 1'
loop_
_atom_site_label
_atom_site_type_symbol
_atom_site_fract_x
_atom_site_fract_y
_atom_site_fract_z
Ni1 Ni 0.000 0.000 0.000
Bi1 Bi 0.667 0.333 0.500
W1 W 0.000 0.000 0.302
W2 W 0.000 0.000 0.698
W3 W 0.667 0.333 0.138
W4 W 0.667 0.333 0.862
C1 C 0.333 0.667 0.224
C2 C 0.333 0.667 0.776
```

The 10 most intense peaks (10 to 90 degrees two-theta), low angle first:
two_theta	I/Imax
32.4	17
33.1	31
35.6	21
38.6	100
39.2	9
47.0	11
59.1	25
64.0	17
69.0	12
72.8	16



[8]
Starting from a DFT-relaxed cell (PBE, OQMD), the powder diffraction line list of Pm3Hg5 was calculated for copper Kα.
Lines closer than 0.1° are merged.

Structure:
```
data_Pm3Hg5
_chemical_formula_sum 'Pm3 Hg5'
_cell_length_a 6.521
_cell_length_b 6.521
_cell_length_c 5.185
_cell_angle_alpha 90.00
_cell_angle_beta 90.00
_cell_angle_gamma 106.28
_symmetry_space_group_name_H-M 'P 1'
_symmetry_Int_Tables_number 1
_symmetry_space_group_name_Hall 'P 1'
loop_
_atom_site_label
_atom_site_type_symbol
_atom_site_fract_x
_atom_site_fract_y
_atom_site_fract_z
Pm1 Pm 0.000 0.000 0.000
Pm2 Pm 0.291 0.709 0.500
Pm3 Pm 0.709 0.291 0.500
Hg1 Hg 0.000 0.500 0.000
Hg2 Hg 0.214 0.214 0.500
Hg3 Hg 0.500 0.000 0.000
Hg4 Hg 0.500 0.500 0.000
Hg5 Hg 0.786 0.786 0.500
```

The 10 most intense peaks (10 to 90 degrees two-theta), low angle first:
two_theta	I/Imax
33.4	100
34.4	21
34.6	26
46.4	9
49.6	15
59.0	7
59.2	9
61.0	13
61.3	18
70.3	9